# RbCdPb3
Theoretical PXRD pattern, λ = 1.5418 Å (Cu Kα). Input: the PBE geometry in Alexandria.
Lines closer than 0.1° are merged.

Crystal structure
a b c (Å): 5.673 7.795 7.764
angles (deg): 90.00 90.59 90.00
Fractional positions:
Rb 0.250 0.000 0.250
Rb 0.750 0.500 0.750
Cd 0.249 0.207 0.749
Cd 0.751 0.707 0.251
Pb 0.247 0.495 0.450
Pb 0.250 0.823 0.750
Pb 0.252 0.494 0.050
Pb 0.748 0.994 0.950
Pb 0.750 0.323 0.250
Pb 0.753 0.995 0.550

Peak list (10 most intense, 2θ = 15–90°, sorted by position)
- 2θ 16.1, intensity 26
- 2θ 19.3, intensity 28
- 2θ 30.0, intensity 100
- 2θ 30.2, intensity 41
- 2θ 30.3, intensity 58
- 2θ 31.5, intensity 59
- 2θ 32.6, intensity 37
- 2θ 38.1, intensity 56
- 2θ 49.7, intensity 25
- 2θ 66.8, intensity 21

# KSbO3
Theoretical PXRD pattern, λ = 1.5418 Å (Cu Kα). Input: the PBE geometry in Alexandria.
Lines closer than 0.1° are merged.

Crystal structure
a b c (Å): 9.746 9.746 9.746
angles (deg): 90.00 90.00 90.00
Fractional positions:
K 0.000 0.000 0.000
K 0.000 0.500 0.500
K 0.097 0.097 0.403
K 0.097 0.403 0.097
K 0.403 0.097 0.097
K 0.403 0.403 0.403
K 0.500 0.000 0.500
K 0.500 0.500 0.000
K 0.597 0.597 0.597
K 0.597 0.903 0.903
K 0.903 0.597 0.903
K 0.903 0.903 0.597
Sb 0.093 0.250 0.750
Sb 0.250 0.593 0.750
Sb 0.250 0.750 0.093
Sb 0.250 0.750 0.407
Sb 0.250 0.907 0.750
Sb 0.407 0.250 0.750
Sb 0.593 0.750 0.250
Sb 0.750 0.093 0.250
Sb 0.750 0.250 0.593
Sb 0.750 0.250 0.907
Sb 0.750 0.407 0.250
Sb 0.907 0.750 0.250
O 0.039 0.747 0.093
O 0.039 0.753 0.407
O 0.093 0.039 0.747
O 0.093 0.461 0.753
O 0.112 0.750 0.750
O 0.247 0.593 0.961
O 0.247 0.907 0.539
O 0.250 0.250 0.612
O 0.250 0.250 0.888
O 0.250 0.612 0.250
O 0.250 0.888 0.250
O 0.253 0.593 0.539
O 0.253 0.907 0.961
O 0.388 0.750 0.750
O 0.407 0.039 0.753
O 0.407 0.461 0.747
O 0.461 0.747 0.407
O 0.461 0.753 0.093
O 0.539 0.247 0.907
O 0.539 0.253 0.593
O 0.593 0.539 0.253
O 0.593 0.961 0.247
O 0.612 0.250 0.250
O 0.747 0.093 0.039
O 0.747 0.407 0.461
O 0.750 0.112 0.750
O 0.750 0.388 0.750
O 0.750 0.750 0.112
O 0.750 0.750 0.388
O 0.753 0.093 0.461
O 0.753 0.407 0.039
O 0.888 0.250 0.250
O 0.907 0.539 0.247
O 0.907 0.961 0.253
O 0.961 0.247 0.593
O 0.961 0.253 0.907

Peak list (10 most intense, 2θ = 15–90°, sorted by position)
- 2θ 18.2, intensity 29
- 2θ 29.0, intensity 100
- 2θ 31.8, intensity 12
- 2θ 34.4, intensity 65
- 2θ 47.6, intensity 53
- 2θ 56.7, intensity 36
- 2θ 58.4, intensity 14
- 2θ 64.9, intensity 17
- 2θ 68.0, intensity 15
- 2θ 85.8, intensity 16

# Zr2Pt3Au3
Theoretical PXRD pattern, λ = 1.5418 Å (Cu Kα). Input: the PBE geometry in Alexandria.
Lines closer than 0.1° are merged.

Crystal structure
a b c (Å): 5.271 5.271 5.271
angles (deg): 94.82 94.82 94.82
Fractional positions:
Zr 0.221 0.221 0.221
Zr 0.779 0.779 0.779
Pt 0.000 0.294 0.706
Pt 0.294 0.706 0.000
Pt 0.706 0.000 0.294
Au 0.247 0.753 0.500
Au 0.500 0.247 0.753
Au 0.753 0.500 0.247

Peak list (10 most intense, 2θ = 15–90°, sorted by position)
- 2θ 22.9, intensity 22
- 2θ 34.3, intensity 25
- 2θ 37.0, intensity 60
- 2θ 39.9, intensity 100
- 2θ 40.3, intensity 48
- 2θ 41.6, intensity 25
- 2θ 61.1, intensity 17
- 2θ 67.5, intensity 13
- 2θ 72.3, intensity 21
- 2θ 72.9, intensity 13

# Th12InNi5
Theoretical PXRD pattern, λ = 1.5418 Å (Cu Kα). Input: the PBE geometry in Alexandria.
Lines closer than 0.1° are merged.

Crystal structure
a b c (Å): 8.534 8.534 8.534
angles (deg): 113.87 112.62 102.17
Fractional positions:
Th 0.039 0.218 0.820
Th 0.188 0.301 0.489
Th 0.188 0.699 0.888
Th 0.326 0.021 0.695
Th 0.326 0.630 0.305
Th 0.398 0.218 0.180
Th 0.602 0.782 0.820
Th 0.674 0.370 0.695
Th 0.674 0.979 0.305
Th 0.812 0.301 0.112
Th 0.812 0.699 0.511
Th 0.961 0.782 0.180
In 0.500 0.500 0.000
Ni 0.000 0.000 0.000
Ni 0.124 0.624 0.500
Ni 0.360 0.000 0.360
Ni 0.640 0.000 0.640
Ni 0.876 0.376 0.500

Peak list (10 most intense, 2θ = 15–90°, sorted by position)
- 2θ 26.7, intensity 43
- 2θ 29.5, intensity 36
- 2θ 30.3, intensity 42
- 2θ 31.7, intensity 100
- 2θ 33.0, intensity 69
- 2θ 34.3, intensity 74
- 2θ 35.6, intensity 38
- 2θ 38.6, intensity 38
- 2θ 55.6, intensity 37
- 2θ 60.2, intensity 38

# Tl2InPt
Theoretical PXRD pattern, λ = 1.5418 Å (Cu Kα). Input: the PBE geometry in Alexandria.
Lines closer than 0.1° are merged.

Crystal structure
a b c (Å): 3.304 3.815 8.389
angles (deg): 90.00 100.76 90.00
Fractional positions:
Tl 0.000 0.000 0.000
Tl 0.336 0.500 0.687
In 0.643 0.500 0.288
Pt 0.208 0.000 0.423

Peak list (10 most intense, 2θ = 15–90°, sorted by position)
- 2θ 25.7, intensity 20
- 2θ 31.5, intensity 24
- 2θ 31.7, intensity 23
- 2θ 32.0, intensity 100
- 2θ 32.6, intensity 29
- 2θ 36.4, intensity 76
- 2θ 45.4, intensity 20
- 2θ 45.8, intensity 18
- 2θ 47.7, intensity 27
- 2θ 61.3, intensity 17

# PaInHg
Theoretical PXRD pattern, λ = 1.5418 Å (Cu Kα). Input: the PBE geometry in Alexandria.
Lines closer than 0.1° are merged.

Crystal structure
a b c (Å): 5.155 5.155 3.164
angles (deg): 90.00 90.00 120.00
Fractional positions:
Pa 0.000 0.000 0.000
In 0.667 0.333 0.500
Hg 0.333 0.667 0.500

Peak list (10 most intense, 2θ = 15–90°, sorted by position)
- 2θ 19.9, intensity 6
- 2θ 34.8, intensity 100
- 2θ 40.4, intensity 1
- 2θ 45.4, intensity 1
- 2θ 50.0, intensity 19
- 2θ 58.3, intensity 4
- 2θ 62.4, intensity 28
- 2θ 69.7, intensity 13
- 2θ 73.5, intensity 6
- 2θ 83.9, intensity 9

# Mg7Al
Theoretical PXRD pattern, λ = 1.5418 Å (Cu Kα). Input: the PBE geometry in Alexandria.
Lines closer than 0.1° are merged.

Crystal structure
a b c (Å): 9.581 9.581 9.581
angles (deg): 153.37 153.37 38.01
Fractional positions:
Mg 0.000 0.000 0.000
Mg 0.121 0.621 0.500
Mg 0.249 0.249 0.000
Mg 0.379 0.879 0.500
Mg 0.621 0.121 0.500
Mg 0.751 0.751 0.000
Mg 0.879 0.379 0.500
Al 0.500 0.500 0.000

Peak list (10 most intense, 2θ = 15–90°, sorted by position)
- 2θ 34.9, intensity 100
- 2θ 39.8, intensity 17
- 2θ 40.9, intensity 32
- 2θ 58.4, intensity 21
- 2θ 59.2, intensity 10
- 2θ 69.1, intensity 12
- 2θ 70.6, intensity 23
- 2θ 73.7, intensity 10
- 2θ 85.8, intensity 1
- 2θ 88.7, intensity 3

# Li3Ca2Mg12Tl
Theoretical PXRD pattern, λ = 1.5418 Å (Cu Kα). Input: the PBE geometry in Alexandria.
Lines closer than 0.1° are merged.

Crystal structure
a b c (Å): 7.817 7.817 7.817
angles (deg): 83.49 83.49 83.49
Fractional positions:
Li 0.000 0.500 0.500
Li 0.500 0.000 0.500
Li 0.500 0.500 0.000
Ca 0.123 0.123 0.123
Ca 0.877 0.877 0.877
Mg 0.115 0.115 0.568
Mg 0.115 0.568 0.115
Mg 0.212 0.694 0.694
Mg 0.306 0.306 0.788
Mg 0.306 0.788 0.306
Mg 0.432 0.885 0.885
Mg 0.568 0.115 0.115
Mg 0.694 0.212 0.694
Mg 0.694 0.694 0.212
Mg 0.788 0.306 0.306
Mg 0.885 0.432 0.885
Mg 0.885 0.885 0.432
Tl 0.500 0.500 0.500

Peak list (10 most intense, 2θ = 15–90°, sorted by position)
- 2θ 15.4, intensity 86
- 2θ 17.0, intensity 52
- 2θ 17.7, intensity 52
- 2θ 24.7, intensity 75
- 2θ 28.8, intensity 58
- 2θ 31.4, intensity 51
- 2θ 34.5, intensity 100
- 2θ 39.0, intensity 43
- 2θ 40.0, intensity 69
- 2θ 47.3, intensity 41

# PmHIF
Theoretical PXRD pattern, λ = 1.5418 Å (Cu Kα). Input: the PBE geometry in Alexandria.
Lines closer than 0.1° are merged.

Crystal structure
a b c (Å): 6.317 6.317 6.317
angles (deg): 142.62 142.02 54.35
Fractional positions:
Pm 0.000 0.000 0.000
H 0.929 0.429 0.500
I 0.669 0.669 0.000
F 0.420 0.920 0.500

Peak list (10 most intense, 2θ = 15–90°, sorted by position)
- 2θ 15.8, intensity 64
- 2θ 23.0, intensity 47
- 2θ 23.4, intensity 76
- 2θ 31.0, intensity 94
- 2θ 32.3, intensity 100
- 2θ 32.6, intensity 99
- 2θ 35.0, intensity 45
- 2θ 55.8, intensity 42
- 2θ 56.3, intensity 41
- 2θ 58.8, intensity 40

# Nd2Dy8Er3
Theoretical PXRD pattern, λ = 1.5418 Å (Cu Kα). Input: the PBE geometry in Alexandria.
Lines closer than 0.1° are merged.

Crystal structure
a b c (Å): 3.555 12.208 19.415
angles (deg): 90.00 90.02 90.00
Fractional positions:
Nd 0.001 0.167 0.370
Nd 0.001 0.333 0.870
Nd 0.999 0.667 0.130
Nd 0.999 0.833 0.630
Dy 0.000 0.017 0.917
Dy 0.000 0.483 0.417
Dy 0.000 0.517 0.583
Dy 0.000 0.983 0.083
Dy 0.001 0.122 0.637
Dy 0.001 0.378 0.137
Dy 0.499 0.650 0.299
Dy 0.499 0.850 0.799
Dy 0.500 0.210 0.019
Dy 0.500 0.290 0.519
Dy 0.500 0.710 0.481
Dy 0.500 0.790 0.981
Dy 0.501 0.150 0.201
Dy 0.501 0.350 0.701
Dy 0.999 0.622 0.863
Dy 0.999 0.878 0.363
Er 0.500 0.000 0.500
Er 0.500 0.123 0.787
Er 0.500 0.377 0.287
Er 0.500 0.500 0.000
Er 0.500 0.623 0.713
Er 0.500 0.877 0.213

Peak list (10 most intense, 2θ = 15–90°, sorted by position)
- 2θ 29.6, intensity 62
- 2θ 30.7, intensity 50
- 2θ 31.2, intensity 100
- 2θ 31.9, intensity 79
- 2θ 33.1, intensity 48
- 2θ 33.8, intensity 91
- 2θ 40.0, intensity 19
- 2θ 51.4, intensity 29
- 2θ 54.8, intensity 23
- 2θ 61.8, intensity 25

# Sm2CdAu6
Theoretical PXRD pattern, λ = 1.5418 Å (Cu Kα). Input: the PBE geometry in Alexandria.
Lines closer than 0.1° are merged.

Crystal structure
a b c (Å): 6.443 6.443 5.544
angles (deg): 90.10 90.10 59.78
Fractional positions:
Sm 0.167 0.167 0.170
Sm 0.833 0.833 0.830
Cd 0.500 0.500 0.000
Au 0.127 0.686 0.322
Au 0.313 0.313 0.679
Au 0.314 0.873 0.678
Au 0.686 0.127 0.322
Au 0.687 0.687 0.321
Au 0.873 0.314 0.678

Peak list (10 most intense, 2θ = 15–90°, sorted by position)
- 2θ 32.1, intensity 15
- 2θ 32.2, intensity 32
- 2θ 32.3, intensity 14
- 2θ 36.0, intensity 43
- 2θ 36.1, intensity 100
- 2θ 36.2, intensity 21
- 2θ 46.2, intensity 20
- 2θ 57.2, intensity 17
- 2θ 67.5, intensity 15
- 2θ 69.6, intensity 14

# Zn3Cu
Theoretical PXRD pattern, λ = 1.5418 Å (Cu Kα). Input: the PBE geometry in Alexandria.
Lines closer than 0.1° are merged.

Crystal structure
a b c (Å): 5.479 5.479 4.256
angles (deg): 90.00 90.00 120.00
Fractional positions:
Zn 0.169 0.339 0.250
Zn 0.169 0.831 0.250
Zn 0.339 0.169 0.750
Zn 0.661 0.831 0.250
Zn 0.831 0.169 0.750
Zn 0.831 0.661 0.750
Cu 0.333 0.667 0.750
Cu 0.667 0.333 0.250

Peak list (9 most intense, 2θ = 15–90°, sorted by position)
- 2θ 37.9, intensity 25
- 2θ 42.5, intensity 24
- 2θ 43.7, intensity 100
- 2θ 58.2, intensity 14
- 2θ 68.5, intensity 16
- 2θ 78.6, intensity 16
- 2θ 81.1, intensity 2
- 2θ 84.0, intensity 18
- 2θ 84.9, intensity 13

- Which formula does entry 12 have?
  Zn3Cu